No. 1
Starting from a cell relaxed with GGA-PBE, the powder XRD pattern of SrAc2BO5 was computed for CuKα.
Peak positions follow from Bragg's law for the DFT cell and can differ from measured ones.

Most intense lines, 2θ = 5–70°, by intensity:
Position (°2θ), I_rel
29.81, 100
38.37, 80
30.61, 66
16.63, 61
54.88, 36
33.63, 29

Crystal structure
```
SrAc2BO5
1.0
-3.4922 3.4922 5.3297
3.4922 -3.4922 5.3297
3.4922 3.4922 -5.3297
Sr Ac B O
2 4 2 10
direct
0.2500 0.2500 0.0000
0.7500 0.7500 0.0000
0.1761 0.6761 0.8521
0.3239 0.1761 0.5000
0.6761 0.8239 0.5000
0.8239 0.3239 0.1479
0.2500 0.7500 0.5000
0.7500 0.2500 0.5000
0.0000 0.0000 0.0000
0.0415 0.7892 0.5000
0.2108 0.7108 0.2522
0.2892 0.5415 0.5000
0.4585 0.9585 0.7478
0.5000 0.5000 0.0000
0.5415 0.0415 0.2522
0.7108 0.4585 0.5000
0.7892 0.2892 0.7478
0.9585 0.2108 0.5000
```

---

No. 2
Starting from a cell relaxed with GGA-PBE, the powder XRD pattern of Ac2TlBO5 was computed for CuKα.
Peak positions follow from Bragg's law for the DFT cell and can differ from measured ones.

Most intense lines, 2θ = 5–70°, by intensity:
Position (°2θ), I_rel
29.88, 100
32.45, 65
24.01, 39
43.66, 34
27.87, 32
39.82, 32

Crystal structure
```
Ac2TlBO5
1.0
7.1579 0.0000 0.0000
0.0000 7.1579 0.0000
0.0000 0.0000 5.4420
Ac Tl B O
4 2 2 10
direct
0.1835 0.3165 0.0000
0.3165 0.8165 0.0000
0.6835 0.1835 0.0000
0.8165 0.6835 0.0000
0.0000 0.0000 0.5000
0.5000 0.5000 0.5000
0.0000 0.5000 0.5000
0.5000 0.0000 0.5000
0.0000 0.0000 0.0000
0.1116 0.6116 0.2878
0.1116 0.6116 0.7122
0.3884 0.1116 0.2878
0.3884 0.1116 0.7122
0.5000 0.5000 0.0000
0.6116 0.8884 0.2878
0.6116 0.8884 0.7122
0.8884 0.3884 0.2878
0.8884 0.3884 0.7122
```

---

No. 3
Starting from a cell relaxed with GGA-PBE, the powder XRD pattern of Ac3Tl4BO8 was computed for CuKα.
Peak positions follow from Bragg's law for the DFT cell and can differ from measured ones.

Most intense lines, 2θ = 5–70°, by intensity:
Position (°2θ), I_rel
28.60, 100
33.40, 95
28.09, 53
32.76, 48
29.25, 48
46.73, 36

Crystal structure
```
Ac3Tl4BO8
1.0
6.5242 -3.8009 0.0000
6.5242 3.8009 0.0000
-4.1375 0.0000 6.3534
Ac Tl B O
3 4 1 8
direct
0.0000 0.0000 0.0000
0.0000 0.5000 0.5000
0.5000 0.0000 0.5000
0.0000 0.0000 0.5000
0.0000 0.5000 0.0000
0.5000 0.0000 0.0000
0.5000 0.5000 0.5000
0.5000 0.5000 0.0000
0.1951 0.1951 0.6701
0.2172 0.7411 0.7516
0.2302 0.2302 0.2735
0.2589 0.7828 0.2484
0.7411 0.2172 0.7516
0.7698 0.7698 0.7265
0.7828 0.2589 0.2484
0.8049 0.8049 0.3299
```